This entry pairs a crystal structure of K2Cu2GeS4 with its calculated powder X-ray diffraction pattern. Radiation: Cu Kα (λ = 1.5418 Å). Structure: a crystal structure in OQMD, relaxed with GGA-PBE.
Kinematic intensities with the Lorentz-polarization factor, no thermal factor.

Atomic structure:
a = 7.1039 Å, b = 5.3944 Å, c = 11.1779 Å
α = 90.00°, β = 112.95°, γ = 90.00°
Space group P2/c (No. 13)
Symmetry-distinct sites (fractional):
K  0.0000  0.0000  0.0000 x2
K  0.0000  0.4750  0.2500 x2
Cu  0.4997  0.2479  0.0285 x4
Ge  0.5000  0.2519  0.7500 x2
S  0.2945  0.0316  0.8221 x4
S  0.2952  0.4731  0.5763 x4

Most intense lines, 5 to 70 degrees two-theta, in order of rising 2θ:
hkl 1 0 0, 13.54 deg, I 998
hkl 2 1 -2, 30.85 deg, I 1000
hkl 2 0 -4, 34.91 deg, I 354
hkl 1 2 0, 36.02 deg, I 438
hkl 1 2 -4, 46.81 deg, I 419
hkl 3 2 0, 54.08 deg, I 271